(1)
Diffraction record for KMg6B. The XRD peak list is theoretical, not measured: it uses a crystal structure in the Materials Project, relaxed with PBE and Cu Kα (λ = 1.5418 Å).
Peak positions follow from Bragg's law for the DFT cell and can differ from measured ones.

Structure:
Unit cell a=3.107 b=6.489 c=19.639 alpha=90.00 beta=90.00 gamma=90.00
Space group Amm2 (No. 38)
Asymmetric unit:
K 0.000 0.000 0.000 x2
Mg 0.000 0.000 0.562 x2
Mg 0.000 0.241 0.816 x4
Mg 0.500 0.000 0.425 x2
Mg 0.500 0.250 0.174 x4
B 0.500 0.000 0.766 x2

The 6 most intense peaks (2θ from 15° to 90°), by angle:
two_theta, d [Å], I/Imax, hkl
26.53, 3.360, 44, 0 1 5
28.98, 3.081, 100, 0 2 2
34.15, 2.626, 91, 1 0 4
34.83, 2.576, 55, 0 1 7
39.09, 2.304, 26, 0 2 6
41.27, 2.188, 75, 1 2 2

***

(2)
Diffraction record for KMg6B. The XRD peak list is theoretical, not measured: it uses a crystal structure in the Materials Project, relaxed with PBE and Cu Kα (λ = 1.5418 Å).
Peak positions follow from Bragg's law for the DFT cell and can differ from measured ones.

Structure:
Unit cell a=4.527 b=6.179 c=14.389 alpha=90.00 beta=90.00 gamma=90.00
Space group Amm2 (No. 38)
Asymmetric unit:
K 0.000 0.000 0.000 x2
Mg 0.000 0.234 0.738 x4
Mg 0.500 0.000 0.170 x2
Mg 0.500 0.000 0.614 x2
Mg 0.500 0.226 0.376 x4
B 0.000 0.000 0.357 x2

The 6 most intense peaks (2θ from 15° to 90°), by angle:
two_theta, d [Å], I/Imax, hkl
25.16, 3.540, 31, 1 1 1
30.77, 2.906, 29, 1 1 3
31.51, 2.839, 45, 0 2 2
31.77, 2.816, 100, 1 0 4
37.39, 2.405, 98, 1 2 2
39.83, 2.263, 38, 2 0 0